Diffraction record for KNiPtF6. The powder diffraction line list is calculated, not measured: it uses a PBE+U-relaxed structure and Cu Kα.
Lines closer than 0.1° are merged.

Cell and atoms:
```
data_KNiPtF6
_cell_length_a 5.610
_cell_length_b 9.369
_cell_length_c 5.717
_cell_angle_alpha 90.00
_cell_angle_beta 91.01
_cell_angle_gamma 90.00
_symmetry_space_group_name_H-M 'C 1 2 1'
_symmetry_Int_Tables_number 5
_symmetry_space_group_name_Hall 'C 2y'
loop_
_atom_site_label
_atom_site_type_symbol
_atom_site_fract_x
_atom_site_fract_y
_atom_site_fract_z
K1 K 0.000 0.000 0.000
Ni1 Ni 0.000 0.670 0.500
Pt1 Pt 0.000 0.333 0.500
F1 F 0.141 0.496 0.685
F2 F 0.160 0.806 0.712
F3 F 0.179 0.181 0.681
```

The 8 most intense peaks (15° ≤ 2θ ≤ 90°), sorted by position:
hkl 0 0 1, 2θ = 15.5°, 5.716 Å, I = 100
hkl 1 1 0, 2θ = 18.4°, 4.812 Å, I = 39
hkl 1 1 -1, 2θ = 24.0°, 3.709 Å, I = 47
hkl 1 1 1, 2θ = 24.4°, 3.654 Å, I = 43
hkl 0 2 1, 2θ = 24.6°, 3.623 Å, I = 42
hkl 1 3 0, 2θ = 32.8°, 2.728 Å, I = 27
hkl 1 3 1, 2θ = 36.6°, 2.454 Å, I = 29
hkl 1 3 2, 2θ = 46.2°, 1.965 Å, I = 29